Record 1
Calculated powder X-ray diffraction pattern of AlV6Sn for Cu Ka, from a DFT-relaxed cell (GGA-PBE, the Materials Project).
Peak positions follow from Bragg's law for the DFT cell and can differ from measured ones.

Structural model:
a = 4.895 Å, b = 4.895 Å, c = 4.895 Å
α = 90.00°, β = 90.00°, γ = 90.00°
Space group Pm-3 (No. 200)
Symmetry-distinct sites (fractional):
Al 0.000 0.000 0.000 [1 per cell]
V 0.000 0.239 0.500 [6 per cell]
Sn 0.500 0.500 0.500 [1 per cell]

Most intense lines, 2θ from 10° to 90°, by angle:
2θ 18.12, rel. 30.6; 2θ 31.66, rel. 19.9; 2θ 36.72, rel. 46.5; 2θ 41.23, rel. 100.0; 2θ 45.38, rel. 99.0; 2θ 56.38, rel. 10.0; 2θ 69.19, rel. 21.9; 2θ 72.20, rel. 48.9; 2θ 78.09, rel. 14.6; 2θ 89.54, rel. 14.1

Record 2
Calculated powder X-ray diffraction pattern of Mg14NbSi for Cu Ka, from a DFT-relaxed cell (GGA-PBE, the Materials Project).
Peak positions follow from Bragg's law for the DFT cell and can differ from measured ones.

Structural model:
a = 10.166 Å, b = 6.121 Å, c = 10.895 Å
α = 90.00°, β = 90.00°, γ = 90.00°
Space group Amm2 (No. 38)
Symmetry-distinct sites (fractional):
Mg 0.000 0.000 0.000 [2 per cell]
Mg 0.000 0.000 0.500 [2 per cell]
Mg 0.000 0.250 0.251 [4 per cell]
Mg 0.252 0.000 0.163 [4 per cell]
Mg 0.253 0.000 0.664 [4 per cell]
Mg 0.258 0.249 0.918 [8 per cell]
Mg 0.500 0.248 0.250 [4 per cell]
Nb 0.500 0.000 0.002 [2 per cell]
Si 0.500 0.000 0.501 [2 per cell]

Most intense lines, 2θ from 10° to 90°, by angle:
2θ 18.78, rel. 15.2; 2θ 33.60, rel. 30.1; 2θ 35.32, rel. 41.3; 2θ 37.46, rel. 54.4; 2θ 38.09, rel. 100.0; 2θ 49.53, rel. 16.9; 2θ 59.16, rel. 17.5; 2θ 65.23, rel. 19.4; 2θ 70.82, rel. 19.6; 2θ 73.37, rel. 13.8

Record 3
Calculated powder X-ray diffraction pattern of MgTi2P2O8 for Cu Ka, from a DFT-relaxed cell (GGA-PBE, the Materials Project).
Peak positions follow from Bragg's law for the DFT cell and can differ from measured ones.

Structural model:
a = 16.493 Å, b = 4.881 Å, c = 17.455 Å
α = 90.00°, β = 117.98°, γ = 90.00°
Space group C2/c (No. 15)
Symmetry-distinct sites (fractional):
Mg 0.165 0.176 0.149 [8 per cell]
Ti 0.000 0.115 0.250 [4 per cell]
Ti 0.098 0.209 0.464 [8 per cell]
Ti 0.250 0.250 0.000 [4 per cell]
P 0.019 0.304 0.613 [8 per cell]
P 0.217 0.229 0.356 [8 per cell]
O 0.038 0.379 0.119 [8 per cell]
O 0.049 0.186 0.704 [8 per cell]
O 0.074 0.154 0.575 [8 per cell]
O 0.087 0.273 0.950 [8 per cell]
O 0.119 0.251 0.349 [8 per cell]
O 0.219 0.319 0.273 [8 per cell]
O 0.223 0.062 0.571 [8 per cell]
O 0.243 0.440 0.114 [8 per cell]

Most intense lines, 2θ from 10° to 90°, by angle:
2θ 11.48, rel. 36.7; 2θ 19.18, rel. 33.3; 2θ 23.88, rel. 28.3; 2θ 24.48, rel. 43.8; 2θ 28.39, rel. 100.0; 2θ 31.00, rel. 43.9; 2θ 31.87, rel. 63.7; 2θ 32.91, rel. 58.9; 2θ 35.92, rel. 39.3; 2θ 36.83, rel. 44.5

Record 4
Calculated powder X-ray diffraction pattern of GaGe5H6C4NO12 for Cu Ka, from a DFT-relaxed cell (GGA-PBE, the Materials Project).
Peak positions follow from Bragg's law for the DFT cell and can differ from measured ones.

Structural model:
a = 12.871 Å, b = 9.306 Å, c = 9.067 Å
α = 90.00°, β = 134.53°, γ = 90.00°
Space group C2 (No. 5)
Symmetry-distinct sites (fractional):
Ga 0.000 0.000 0.000 [2 per cell]
Ge 0.000 0.498 0.000 [2 per cell]
Ge 0.004 0.753 0.755 [4 per cell]
Ge 0.248 0.245 0.255 [4 per cell]
H 0.074 0.404 0.404 [4 per cell]
H 0.156 0.060 0.690 [4 per cell]
H 0.159 0.220 0.823 [4 per cell]
C 0.039 0.384 0.482 [4 per cell]
C 0.119 0.165 0.686 [4 per cell]
N 0.000 0.221 0.500 [2 per cell]
O 0.067 0.601 0.217 [4 per cell]
O 0.082 0.887 0.937 [4 per cell]
O 0.141 0.113 0.227 [4 per cell]
O 0.141 0.825 0.496 [4 per cell]
O 0.143 0.674 0.780 [4 per cell]
O 0.146 0.392 0.076 [4 per cell]

Most intense lines, 2θ from 10° to 90°, by angle:
2θ 13.59, rel. 100.0; 2θ 13.73, rel. 43.4; 2θ 19.07, rel. 19.1; 2θ 19.35, rel. 20.5; 2θ 19.58, rel. 21.3; 2θ 23.58, rel. 49.9; 2θ 23.74, rel. 57.3; 2θ 23.90, rel. 63.5; 2θ 33.77, rel. 58.4; 2θ 33.87, rel. 51.6

Record 5
Calculated powder X-ray diffraction pattern of BaSrCeBiO6 for Cu Ka, from a DFT-relaxed cell (GGA-PBE, the Materials Project).
Peak positions follow from Bragg's law for the DFT cell and can differ from measured ones.

Structural model:
a = 8.772 Å, b = 8.778 Å, c = 8.791 Å
α = 90.00°, β = 90.00°, γ = 90.00°
Space group P222 (No. 16)
Symmetry-distinct sites (fractional):
Ba 0.000 0.000 0.000 [1 per cell]
Ba 0.000 0.000 0.500 [1 per cell]
Ba 0.500 0.000 0.000 [1 per cell]
Ba 0.500 0.500 0.000 [1 per cell]
Sr 0.000 0.500 0.000 [1 per cell]
Sr 0.000 0.500 0.500 [1 per cell]
Sr 0.500 0.000 0.500 [1 per cell]
Sr 0.500 0.500 0.500 [1 per cell]
Ce 0.250 0.253 0.253 [4 per cell]
Bi 0.250 0.253 0.747 [4 per cell]
O 0.001 0.291 0.297 [4 per cell]
O 0.212 0.295 0.001 [4 per cell]
O 0.216 0.002 0.221 [4 per cell]
O 0.290 0.206 0.499 [4 per cell]
O 0.294 0.499 0.293 [4 per cell]
O 0.499 0.223 0.213 [4 per cell]

Most intense lines, 2θ from 10° to 90°, by angle:
2θ 20.23, rel. 9.5; 2θ 28.76, rel. 100.0; 2θ 41.12, rel. 27.1; 2θ 46.24, rel. 4.6; 2θ 50.95, rel. 45.8; 2θ 59.56, rel. 16.6; 2θ 67.42, rel. 9.5; 2θ 67.51, rel. 9.3; 2θ 74.93, rel. 5.4; 2θ 82.14, rel. 19.3

Record 6
Calculated powder X-ray diffraction pattern of KTh3 for Cu Ka, from a DFT-relaxed cell (GGA-PBE, the Materials Project).
Peak positions follow from Bragg's law for the DFT cell and can differ from measured ones.

Structural model:
a = 7.4134 Å, b = 7.4134 Å, c = 6.0118 Å
α = 90.00°, β = 90.00°, γ = 120.00°
Space group P6_3/mmc (No. 194)
Symmetry-distinct sites (fractional):
K 0.3333 0.6667 0.2500 [2 per cell]
Th 0.1558 0.3116 0.7500 [6 per cell]

Most intense lines, 2θ from 10° to 90°, by angle:
2θ 13.79, rel. 19.3; 2θ 27.79, rel. 23.0; 2θ 29.72, rel. 26.9; 2θ 31.60, rel. 100.0; 2θ 40.07, rel. 13.4; 2θ 41.14, rel. 16.4; 2θ 49.16, rel. 18.4; 2θ 53.94, rel. 22.7; 2θ 58.51, rel. 22.1; 2θ 59.62, rel. 15.0

Q: Which formula does entry 4 have?
A: GaGe5H6C4NO12